Entry 1:
# Mg2V3GaS8
Simulated powder diffractogram, a wavelength of 1.5418 Å. Input: DFT lattice parameters and positions (PBE).
Peak positions follow from Bragg's law for the DFT cell and can differ from measured ones.

Structure:
a b c (Å): 7.2076 7.2076 18.1581
angles (deg): 90.00 90.00 120.00
Space group R-3m (No. 166, hexagonal axes)
Unique sites:
Mg (0.0000, 0.0000, 0.1249) x6
V (0.0000, 0.5000, 0.0000) x9
Ga (0.0000, 0.0000, 0.5000) x3
S (0.0000, 0.0000, 0.2615) x6
S (0.0303, 0.5152, 0.2544) x18

Peak list (10 most intense, 10° ≤ 2θ ≤ 80°, sorted by position)
| 2θ (°) | I/Imax | h k l |
| --- | --- | --- |
| 15.01 | 62 | 1 0 1 |
| 28.43 | 21 | 0 1 5 |
| 28.83 | 42 | 1 1 3 |
| 34.89 | 100 | 0 2 4 |
| 45.87 | 24 | 1 2 5 |
| 46.13 | 14 | 0 3 3 |
| 49.67 | 49 | 2 0 8 |
| 50.66 | 47 | 2 2 0 |
| 62.99 | 14 | 4 0 4 |
| 73.67 | 13 | 0 4 8 |

Entry 2:
# MgGaWS4
Simulated powder diffractogram, a wavelength of 1.5418 Å. Input: DFT lattice parameters and positions (PBE).
Peak positions follow from Bragg's law for the DFT cell and can differ from measured ones.

Structure:
a b c (Å): 6.8920 7.4087 10.8045
angles (deg): 90.00 90.00 90.00
Space group Imm2 (No. 44)
Unique sites:
Mg (0.0000, 0.0000, 0.0000) x2
Mg (0.0000, 0.5000, 0.2521) x2
Ga (0.0000, 0.2569, 0.6470) x4
W (0.2021, 0.0000, 0.3838) x4
S (0.0000, 0.2576, 0.4087) x4
S (0.0000, 0.2806, 0.8734) x4
S (0.2337, 0.0000, 0.6049) x4
S (0.2482, 0.0000, 0.1633) x4

Peak list (10 most intense, 10° ≤ 2θ ≤ 80°, sorted by position)
| 2θ (°) | I/Imax | h k l |
| --- | --- | --- |
| 14.50 | 100 | 0 1 1 |
| 15.25 | 18 | 1 0 1 |
| 16.41 | 14 | 0 0 2 |
| 27.54 | 19 | 0 1 3 |
| 28.58 | 16 | 1 2 1 |
| 29.77 | 34 | 2 1 1 |
| 33.17 | 24 | 0 0 4 |
| 35.58 | 37 | 2 2 0 |
| 43.63 | 13 | 0 1 5 |
| 49.43 | 33 | 2 2 4 |

Entry 3:
# Mg6GaSb
Simulated powder diffractogram, a wavelength of 1.5418 Å. Input: DFT lattice parameters and positions (PBE).
Peak positions follow from Bragg's law for the DFT cell and can differ from measured ones.

Structure:
a b c (Å): 5.2147 6.4331 10.7422
angles (deg): 90.00 90.00 90.00
Space group Amm2 (No. 38)
Unique sites:
Mg (0.0000, 0.0000, 0.0000) x2
Mg (0.0000, 0.0000, 0.4976) x2
Mg (0.0000, 0.2454, 0.2472) x4
Mg (0.5000, 0.2492, 0.9152) x4
Ga (0.5000, 0.0000, 0.1639) x2
Sb (0.5000, 0.0000, 0.6642) x2

Peak list (10 most intense, 10° ≤ 2θ ≤ 80°, sorted by position)
| 2θ (°) | I/Imax | h k l |
| --- | --- | --- |
| 16.50 | 39 | 0 0 2 |
| 17.00 | 36 | 1 0 0 |
| 23.78 | 32 | 1 0 2 |
| 32.44 | 34 | 0 2 2 |
| 34.40 | 38 | 2 0 0 |
| 36.85 | 100 | 1 2 2 |
| 37.68 | 47 | 1 0 4 |
| 48.00 | 23 | 2 2 2 |
| 63.22 | 20 | 3 2 2 |
| 70.15 | 20 | 2 2 6 |

Entry 4:
# Mg14GaSb
Simulated powder diffractogram, a wavelength of 1.5418 Å. Input: DFT lattice parameters and positions (PBE).
Peak positions follow from Bragg's law for the DFT cell and can differ from measured ones.

Structure:
a b c (Å): 6.3585 6.3585 10.2654
angles (deg): 90.00 90.00 120.00
Space group P-6m2 (No. 187)
Unique sites:
Mg (0.0000, 0.0000, 0.2495) x2
Mg (0.3322, 0.1661, 0.0000) x3
Mg (0.3334, 0.1667, 0.5000) x3
Mg (0.5011, 0.0022, 0.2530) x6
Ga (0.3333, 0.6667, 0.5000) x1
Sb (0.3333, 0.6667, 0.0000) x1

Peak list (10 most intense, 10° ≤ 2θ ≤ 80°, sorted by position)
| 2θ (°) | I/Imax | h k l |
| --- | --- | --- |
| 16.10 | 33 | 1 0 0 |
| 23.70 | 28 | 1 0 2 |
| 32.52 | 28 | 2 0 0 |
| 34.96 | 26 | 0 0 4 |
| 37.05 | 100 | 2 0 2 |
| 48.49 | 18 | 2 0 4 |
| 58.02 | 17 | 2 2 0 |
| 64.08 | 19 | 2 0 6 |
| 69.57 | 19 | 2 2 4 |
| 70.87 | 14 | 4 0 2 |

Entry 5:
# Mg14GaSb
Simulated powder diffractogram, a wavelength of 1.5418 Å. Input: DFT lattice parameters and positions (PBE).
Peak positions follow from Bragg's law for the DFT cell and can differ from measured ones.

Structure:
a b c (Å): 10.2865 6.6034 10.7237
angles (deg): 90.00 90.00 90.00
Space group Amm2 (No. 38)
Unique sites:
Mg (0.0000, 0.0000, 0.9995) x2
Mg (0.0000, 0.0000, 0.5000) x2
Mg (0.0000, 0.2501, 0.2515) x4
Mg (0.2471, 0.0000, 0.1696) x4
Mg (0.2536, 0.0000, 0.6671) x4
Mg (0.2543, 0.2444, 0.4212) x8
Mg (0.5000, 0.2488, 0.7494) x4
Ga (0.5000, 0.0000, 0.5052) x2
Sb (0.5000, 0.0000, 0.0057) x2

Peak list (10 most intense, 10° ≤ 2θ ≤ 80°, sorted by position)
| 2θ (°) | I/Imax | h k l |
| --- | --- | --- |
| 16.53 | 16 | 0 0 2 |
| 18.66 | 23 | 1 0 2 |
| 31.83 | 28 | 0 2 2 |
| 34.89 | 37 | 4 0 0 |
| 36.42 | 100 | 2 2 2 |
| 37.84 | 49 | 2 0 4 |
| 47.94 | 18 | 4 2 2 |
| 58.74 | 16 | 0 2 6 |
| 63.57 | 20 | 6 2 2 |
| 70.17 | 18 | 4 2 6 |

Entry 6:
# Mg6GaSb
Simulated powder diffractogram, a wavelength of 1.5418 Å. Input: DFT lattice parameters and positions (PBE).
Peak positions follow from Bragg's law for the DFT cell and can differ from measured ones.

Structure:
a b c (Å): 5.2662 6.1530 11.0204
angles (deg): 90.00 90.00 90.00
Space group Amm2 (No. 38)
Unique sites:
Mg (0.0000, 0.0000, 0.0000) x2
Mg (0.0000, 0.2458, 0.7445) x4
Mg (0.5000, 0.0000, 0.1648) x2
Mg (0.5000, 0.2497, 0.4173) x4
Ga (0.5000, 0.0000, 0.6797) x2
Sb (0.0000, 0.0000, 0.4932) x2

Peak list (10 most intense, 10° ≤ 2θ ≤ 80°, sorted by position)
| 2θ (°) | I/Imax | h k l |
| --- | --- | --- |
| 16.50 | 56 | 0 1 1 |
| 23.37 | 31 | 1 0 2 |
| 23.66 | 28 | 1 1 1 |
| 32.50 | 18 | 0 0 4 |
| 33.11 | 28 | 1 1 3 |
| 34.05 | 41 | 2 0 0 |
| 36.82 | 40 | 1 0 4 |
| 37.59 | 100 | 1 2 2 |
| 63.29 | 21 | 3 2 2 |
| 69.47 | 18 | 2 2 6 |

Entry 7:
# MgSc2Ga2
Simulated powder diffractogram, a wavelength of 1.5418 Å. Input: DFT lattice parameters and positions (PBE).
Peak positions follow from Bragg's law for the DFT cell and can differ from measured ones.

Structure:
a b c (Å): 7.1503 7.1503 3.9542
angles (deg): 90.00 90.00 90.00
Space group P4/mbm (No. 127)
Unique sites:
Mg (0.0000, 0.0000, 0.0000) x2
Sc (0.1717, 0.3283, 0.5000) x4
Ga (0.1263, 0.6263, 0.0000) x4

Peak list (10 most intense, 10° ≤ 2θ ≤ 80°, sorted by position)
| 2θ (°) | I/Imax | h k l |
| --- | --- | --- |
| 17.54 | 23 | 1 1 0 |
| 22.48 | 10 | 0 0 1 |
| 33.80 | 11 | 2 0 1 |
| 36.12 | 100 | 2 1 1 |
| 39.87 | 26 | 3 1 0 |
| 45.75 | 10 | 3 2 0 |
| 45.90 | 15 | 0 0 2 |
| 51.56 | 11 | 3 2 1 |
| 62.39 | 13 | 3 1 2 |
| 75.54 | 10 | 5 2 1 |

Entry 8:
# Mg14GaSi
Simulated powder diffractogram, a wavelength of 1.5418 Å. Input: DFT lattice parameters and positions (PBE).
Peak positions follow from Bragg's law for the DFT cell and can differ from measured ones.

Structure:
a b c (Å): 10.1303 6.4415 10.6438
angles (deg): 90.00 90.00 90.00
Space group Amm2 (No. 38)
Unique sites:
Mg (0.0000, 0.0000, 0.0000) x2
Mg (0.0000, 0.0000, 0.4998) x2
Mg (0.0000, 0.2493, 0.2512) x4
Mg (0.2506, 0.0000, 0.6671) x4
Mg (0.2538, 0.0000, 0.1658) x4
Mg (0.2582, 0.2492, 0.9206) x8
Mg (0.5000, 0.2494, 0.7494) x4
Ga (0.5000, 0.0000, 0.5032) x2
Si (0.5000, 0.0000, 0.0017) x2

Peak list (10 most intense, 10° ≤ 2θ ≤ 80°, sorted by position)
| 2θ (°) | I/Imax | h k l |
| --- | --- | --- |
| 32.49 | 25 | 0 2 2 |
| 33.69 | 13 | 0 0 4 |
| 35.44 | 37 | 4 0 0 |
| 37.14 | 100 | 2 2 2 |
| 38.21 | 45 | 2 0 4 |
| 48.84 | 15 | 4 2 2 |
| 59.49 | 16 | 0 2 6 |
| 64.75 | 18 | 6 2 2 |
| 70.88 | 15 | 2 4 4 |
| 71.19 | 18 | 4 2 6 |